For Lu2Nb4Ga3N3, a DFT-relaxed cell (GGA-PBE, OQMD) gives the theoretical PXRD pattern in this record (a wavelength of 1.5418 Å).
Intensities are scaled so that the largest is 100.

Largest 10 diffraction maxima, by angle, 2θ from 10° to 90°:
2θ (°)	I/Imax
30.37	11
32.24	17
32.92	21
34.08	11
37.87	49
37.99	100
39.74	26
41.92	12
57.30	16
64.05	12

Cell and atoms:
Unit cell a=5.5533 b=5.5533 c=13.9864 alpha=101.49 beta=101.49 gamma=60.30
Positions (direct):
1 Lu 0.0371 0.8756 0.6094
2 Lu 0.1244 0.9629 0.8906
3 Lu 0.8756 0.0371 0.1094
4 Lu 0.9629 0.1244 0.3906
5 Nb 0.1954 0.3603 0.0811
6 Nb 0.3067 0.4712 0.4190
7 Nb 0.3603 0.1954 0.5811
8 Nb 0.4712 0.3067 0.9190
9 Nb 0.5288 0.6933 0.0810
10 Nb 0.6397 0.8046 0.4189
11 Nb 0.6933 0.5288 0.5810
12 Nb 0.8046 0.6397 0.9189
13 Ga 0.0840 0.3856 0.7502
14 Ga 0.3856 0.0840 0.2502
15 Ga 0.4473 0.5527 0.2500
16 Ga 0.5527 0.4473 0.7500
17 Ga 0.6144 0.9160 0.7498
18 Ga 0.9160 0.6144 0.2498
19 N 0.0000 0.5000 0.5000
20 N 0.1568 0.6854 0.0000
21 N 0.3146 0.8432 0.5000
22 N 0.5000 0.0000 0.0000
23 N 0.6854 0.1568 0.5000
24 N 0.8432 0.3146 0.0000